Structure and theoretical PXRD pattern of NaSm2Ge3Pt4 (a DFT-relaxed cell (PBE, Alexandria); a wavelength of 1.5418 Å).

Peak list (6 most intense, 2θ from 10° to 80°, by angle)
d [Å]  I_rel  index
2.915  26  1 1 1
2.738  42  1 0 3
2.635  100  1 1 2
2.143  62  2 0 0
2.003  27  1 1 4
1.911  31  1 0 5

Structural model:
```
data_NaSm2Ge3Pt4
_chemical_formula_sum 'Na1 Sm2 Ge3 Pt4'
_space_group_name_H-M_alt 'P -4 m 2'
_space_group_IT_number 115
_cell_length_a 4.2854
_cell_length_b 4.2854
_cell_length_c 10.6769
_cell_angle_alpha 90.00
_cell_angle_beta 90.00
_cell_angle_gamma 90.00
loop_
_space_group_symop_operation_xyz
'x,y,z'
'y,-x,-z'
'-x,-y,z'
'-y,x,-z'
'-x,y,z'
'-y,-x,-z'
'x,-y,z'
'y,x,-z'
loop_
_atom_site_label
_atom_site_type_symbol
_atom_site_fract_x
_atom_site_fract_y
_atom_site_fract_z
Na1 Na 0.0000 0.0000 0.0000
Sm1 Sm 0.0000 0.5000 0.7403
Ge1 Ge 0.0000 0.5000 0.3718
Ge2 Ge 0.5000 0.5000 0.0000
Pt1 Pt 0.0000 0.0000 0.5000
Pt2 Pt 0.0000 0.5000 0.1455
Pt3 Pt 0.5000 0.5000 0.5000
```